For Pa3Si2Ge, DFT lattice parameters and positions (GGA-PBE) gives the theoretical powder XRD pattern in this record (CuKα).

Principal peaks in the range 2θ from 15° to 90°, in order of rising 2θ:
| d [Å] | I (rel.) | (hkl) |
| --- | --- | --- |
| 3.862 | 460 | 0 0 2 |
| 3.636 | 521 | 1 1 0 |
| 2.794 | 1000 | 1 0 2 |
| 2.710 | 723 | 1 2 1 |
| 2.647 | 724 | 1 1 2 |
| 2.599 | 956 | 0 3 1 |
| 2.187 | 800 | 0 2 3 |
| 2.023 | 394 | 2 0 0 |
| 1.707 | 383 | 1 3 3 |
| 1.597 | 451 | 2 3 1 |

Cell and atoms:
```
data_Pa3Si2Ge
_space_group_name_H-M_alt 'P m c 21'
_space_group_IT_number 26
_space_group_name_Hall 'P 2c -2'
_cell_length_a 4.046
_cell_length_b 8.281
_cell_length_c 7.724
_cell_angle_alpha 90.00
_cell_angle_beta 90.00
_cell_angle_gamma 90.00
loop_
_atom_site_label
_atom_site_fract_x
_atom_site_fract_y
_atom_site_fract_z
Pa1 0.000 0.070 0.000
Pa2 0.000 0.268 0.477
Pa3 0.500 0.428 0.115
Si1 0.000 0.406 0.839
Si2 0.500 0.213 0.753
Ge1 0.500 0.105 0.277
```